Starting from a PBE+U-relaxed structure, the powder diffraction line list of LiY2Fe4O8 was calculated for Cu Kα, 1.54184 Å.
Neutral-atom scattering factors, no anomalous dispersion.

Main lines, in order of rising 2θ (2θ = 10–90°):
2theta, intensity
27.08, 86
30.42, 40
30.67, 82
33.16, 100
33.85, 92
53.65, 34
55.77, 39
55.92, 35

Crystal structure
```
data_LiY2Fe4O8
_space_group_name_H-M_alt 'P 1'
_space_group_IT_number 1
_cell_length_a 6.631
_cell_length_b 6.631
_cell_length_c 6.101
_cell_angle_alpha 117.22
_cell_angle_beta 117.22
_cell_angle_gamma 56.95
loop_
_space_group_symop_operation_xyz
'x,y,z'
loop_
_atom_site_label
_atom_site_type_symbol
_atom_site_fract_x
_atom_site_fract_y
_atom_site_fract_z
Li1 Li 0.000 0.000 0.000
Y1 Y 0.517 0.517 0.056
Y2 Y 0.737 0.737 0.764
Fe1 Fe 0.130 0.653 0.420
Fe2 Fe 0.170 0.170 0.451
Fe3 Fe 0.180 0.180 0.932
Fe4 Fe 0.653 0.130 0.420
O1 O 0.334 0.906 0.631
O2 O 0.358 0.928 0.171
O3 O 0.368 0.368 0.650
O4 O 0.385 0.385 0.203
O5 O 0.880 0.880 0.638
O6 O 0.895 0.895 0.159
O7 O 0.906 0.334 0.631
O8 O 0.928 0.358 0.171
```